Record 1
Starting from the PBE geometry in Alexandria, the powder XRD pattern of Ba2CaZn3Sn4 was computed for Cu Kα X-rays.

Largest 10 diffraction maxima, by intensity, 2θ = 10–90°:
| d/Å | I/Imax |
| --- | --- |
| 2.991 | 100 |
| 2.427 | 59 |
| 3.116 | 42 |
| 2.179 | 30 |
| 1.489 | 25 |
| 1.621 | 24 |
| 1.915 | 21 |
| 1.716 | 20 |
| 2.279 | 19 |
| 3.433 | 13 |

Structure:
a = 4.854 Å, b = 4.854 Å, c = 12.191 Å
α = 90.00°, β = 90.00°, γ = 90.00°
Atoms (fractional coordinates):
Ba 0.000 0.500 0.237
Ba 0.500 0.000 0.763
Ca 0.000 0.000 0.500
Zn 0.000 0.500 0.872
Zn 0.500 0.000 0.128
Zn 0.500 0.500 0.500
Sn 0.000 0.000 0.000
Sn 0.000 0.500 0.650
Sn 0.500 0.000 0.350
Sn 0.500 0.500 0.000

Record 2
Starting from the PBE geometry in Alexandria, the powder XRD pattern of BaSr7Ca3 was computed for Cu Kα X-rays.

Largest 10 diffraction maxima, by intensity, 2θ = 10–90°:
| d/Å | I/Imax |
| --- | --- |
| 3.074 | 100 |
| 3.669 | 98 |
| 3.206 | 92 |
| 3.250 | 68 |
| 3.362 | 59 |
| 3.022 | 41 |
| 1.805 | 29 |
| 2.158 | 28 |
| 2.944 | 25 |
| 3.755 | 25 |

Structure:
a = 11.391 Å, b = 11.391 Å, c = 10.701 Å
α = 90.00°, β = 90.00°, γ = 62.26°
Atoms (fractional coordinates):
Ba 0.000 0.000 0.000
Ba 0.000 0.000 0.500
Sr 0.097 0.602 0.068
Sr 0.097 0.602 0.432
Sr 0.256 0.744 0.750
Sr 0.266 0.399 0.750
Sr 0.398 0.903 0.068
Sr 0.398 0.903 0.432
Sr 0.399 0.266 0.250
Sr 0.601 0.734 0.750
Sr 0.602 0.097 0.568
Sr 0.602 0.097 0.932
Sr 0.734 0.601 0.250
Sr 0.744 0.256 0.250
Sr 0.903 0.398 0.568
Sr 0.903 0.398 0.932
Ca 0.087 0.245 0.250
Ca 0.245 0.087 0.750
Ca 0.500 0.500 0.000
Ca 0.500 0.500 0.500
Ca 0.755 0.913 0.250
Ca 0.913 0.755 0.750

Record 3
Starting from the PBE geometry in Alexandria, the powder XRD pattern of Ba3Sr4Ca3 was computed for Cu Kα X-rays.

Largest 10 diffraction maxima, by intensity, 2θ = 10–90°:
| d/Å | I/Imax |
| --- | --- |
| 3.296 | 100 |
| 3.552 | 97 |
| 3.529 | 95 |
| 3.284 | 92 |
| 3.442 | 87 |
| 1.858 | 61 |
| 1.966 | 52 |
| 2.755 | 34 |
| 2.182 | 31 |
| 4.365 | 30 |

Structure:
a = 4.365 Å, b = 11.195 Å, c = 11.195 Å
α = 89.38°, β = 90.00°, γ = 90.00°
Atoms (fractional coordinates):
Ba 0.000 0.000 0.000
Ba 0.500 0.333 0.828
Ba 0.500 0.828 0.333
Sr 0.500 0.215 0.215
Sr 0.500 0.460 0.460
Sr 0.500 0.691 0.951
Sr 0.500 0.951 0.691
Ca 0.000 0.168 0.504
Ca 0.000 0.504 0.168
Ca 0.000 0.659 0.659